The following is a simulated powder diffraction line list of Ti2GaOs2. It was derived from a structure optimized by DFT (PBE), using CuKα.
Peak positions follow from Bragg's law for the DFT cell and can differ from measured ones.

Top 10 peaks for 2θ from 10° to 80°, by angle:
d (Å)	I_rel
5.131	16.0
3.245	48.4
3.052	28.6
2.295	48.2
2.223	100.0
1.834	23.8
1.814	11.1
1.525	17.1
1.271	14.2
1.233	22.9

Structure:
```
Ti2GaOs2
1.0
7.257 0.000 0.000
0.000 7.257 0.000
0.000 0.000 3.052
Ti Ga Os
4 2 4
direct
0.154 0.346 0.000
0.346 0.846 0.000
0.654 0.154 0.000
0.846 0.654 0.000
0.000 0.000 0.500
0.500 0.500 0.500
0.145 0.645 0.500
0.355 0.145 0.500
0.645 0.855 0.500
0.855 0.355 0.500
```

The following is a simulated powder diffraction line list of Tm3GaOs. It was derived from a structure optimized by DFT (PBE), using CuKα.
Peak positions follow from Bragg's law for the DFT cell and can differ from measured ones.

Top 10 peaks for 2θ from 10° to 80°, by angle:
d (Å)	I_rel
7.868	57.0
4.654	18.8
2.743	75.3
2.697	69.3
2.482	95.5
2.463	100.0
2.285	47.5
2.178	49.1
1.655	17.9
1.553	31.9

Structure:
```
Tm3GaOs
1.0
0.000 4.654 7.868
3.162 0.000 7.868
3.162 4.654 0.000
Tm Ga Os
6 2 2
direct
0.196 0.196 0.804
0.209 0.577 0.423
0.423 0.791 0.209
0.577 0.209 0.791
0.791 0.423 0.577
0.804 0.804 0.196
0.196 0.804 0.804
0.804 0.196 0.196
0.250 0.250 0.250
0.750 0.750 0.750
```

The following is a simulated powder diffraction line list of Tm2Ga8Os. It was derived from a structure optimized by DFT (PBE), using CuKα.
Peak positions follow from Bragg's law for the DFT cell and can differ from measured ones.

Top 10 peaks for 2θ from 10° to 80°, by angle:
d (Å)	I_rel
4.281	35.8
2.808	21.8
2.661	16.7
2.348	100.0
2.140	50.7
2.052	10.9
1.702	10.3
1.545	12.0
1.514	16.6
1.272	27.8

Structure:
```
Tm2Ga8Os
1.0
4.281 0.000 0.000
0.000 4.281 0.000
0.000 0.000 11.162
Tm Ga Os
2 8 1
direct
0.000 0.000 0.192
0.000 0.000 0.808
0.000 0.500 0.000
0.000 0.500 0.377
0.000 0.500 0.623
0.500 0.000 0.000
0.500 0.000 0.377
0.500 0.000 0.623
0.500 0.500 0.191
0.500 0.500 0.809
0.000 0.000 0.500
```

The following is a simulated powder diffraction line list of U4Ga12Os. It was derived from a structure optimized by DFT (PBE), using CuKα.
Peak positions follow from Bragg's law for the DFT cell and can differ from measured ones.

Top 10 peaks for 2θ from 10° to 80°, by angle:
d (Å)	I_rel
4.290	19.9
3.034	76.1
2.477	100.0
2.293	15.1
2.145	75.1
1.752	27.2
1.517	46.3
1.357	19.5
1.294	32.9
1.239	14.7

Structure:
```
U4Ga12Os
1.0
-4.290 4.290 4.290
4.290 -4.290 4.290
4.290 4.290 -4.290
U Ga Os
4 12 1
direct
0.000 0.000 0.500
0.000 0.500 0.000
0.500 0.000 0.000
0.500 0.500 0.500
0.000 0.293 0.293
0.000 0.707 0.707
0.250 0.500 0.750
0.250 0.750 0.500
0.293 0.000 0.293
0.293 0.293 0.000
0.500 0.250 0.750
0.500 0.750 0.250
0.707 0.000 0.707
0.707 0.707 0.000
0.750 0.250 0.500
0.750 0.500 0.250
0.000 0.000 0.000
```

The following is a simulated powder diffraction line list of Zr4GaOs3. It was derived from a structure optimized by DFT (PBE), using CuKα.
Peak positions follow from Bragg's law for the DFT cell and can differ from measured ones.

Top 10 peaks for 2θ from 10° to 80°, by angle:
d (Å)	I_rel
4.676	2.4
4.182	2.2
3.306	8.2
2.698	1.3
2.593	1.3
2.338	100.0
1.909	2.6
1.653	17.1
1.478	3.6
1.350	34.5

Structure:
```
Zr4GaOs3
1.0
3.304 0.000 0.000
0.000 4.675 0.000
0.000 0.000 9.357
Zr Ga Os
4 1 3
direct
0.000 0.000 0.000
0.000 0.000 0.500
0.000 0.500 0.244
0.000 0.500 0.756
0.500 0.500 0.500
0.500 0.000 0.251
0.500 0.000 0.749
0.500 0.500 0.000
```

The following is a simulated powder diffraction line list of Zr4GaOs. It was derived from a structure optimized by DFT (PBE), using CuKα.
Peak positions follow from Bragg's law for the DFT cell and can differ from measured ones.

Top 10 peaks for 2θ from 10° to 80°, by angle:
d (Å)	I_rel
6.616	45.7
4.679	33.7
2.627	100.0
2.436	61.5
2.339	25.5
2.161	65.9
2.092	62.1
1.600	20.1
1.431	19.1
1.369	29.8

Structure:
```
Zr4GaOs
1.0
6.616 0.000 0.000
0.000 6.616 0.000
0.000 0.000 5.708
Zr Ga Os
8 2 2
direct
0.157 0.327 0.000
0.157 0.673 0.500
0.327 0.157 0.500
0.327 0.843 0.000
0.673 0.157 0.000
0.673 0.843 0.500
0.843 0.327 0.500
0.843 0.673 0.000
0.500 0.500 0.250
0.500 0.500 0.750
0.000 0.000 0.250
0.000 0.000 0.750
```

The following is a simulated powder diffraction line list of Zr6Ga3Os. It was derived from a structure optimized by DFT (PBE), using CuKα.
Peak positions follow from Bragg's law for the DFT cell and can differ from measured ones.

Top 10 peaks for 2θ from 10° to 80°, by angle:
d (Å)	I_rel
6.152	30.8
3.036	33.1
2.718	22.1
2.662	36.9
2.642	37.3
2.525	28.0
2.491	46.5
2.471	30.7
2.360	100.0
2.092	27.9

Structure:
```
Zr6Ga3Os
1.0
5.436 0.000 0.000
0.000 7.860 0.000
-5.343 0.000 9.883
Zr Ga Os
12 6 2
direct
0.022 0.170 0.432
0.022 0.330 0.932
0.341 0.677 0.431
0.341 0.823 0.931
0.399 0.041 0.255
0.399 0.459 0.755
0.601 0.541 0.245
0.601 0.959 0.745
0.659 0.177 0.069
0.659 0.323 0.569
0.978 0.670 0.068
0.978 0.830 0.568
0.000 0.000 0.000
0.000 0.500 0.500
0.138 0.122 0.752
0.138 0.378 0.252
0.862 0.622 0.748
0.862 0.878 0.248
0.500 0.000 0.500
0.500 0.500 0.000
```

The following is a simulated powder diffraction line list of Zr3Ga3Os2. It was derived from a structure optimized by DFT (PBE), using CuKα.
Peak positions follow from Bragg's law for the DFT cell and can differ from measured ones.

Top 10 peaks for 2θ from 10° to 80°, by angle:
d (Å)	I_rel
5.149	29.8
3.904	26.6
2.597	47.7
2.506	53.0
2.344	100.0
2.282	56.9
2.133	34.4
2.128	62.2
1.972	23.2
1.952	30.9

Structure:
```
Zr3Ga3Os2
1.0
6.952 0.000 0.000
0.000 15.617 0.000
0.000 0.000 5.454
Zr Ga Os
12 12 8
direct
0.037 0.112 0.111
0.037 0.388 0.111
0.171 0.250 0.651
0.329 0.750 0.151
0.463 0.612 0.611
0.463 0.888 0.611
0.537 0.112 0.389
0.537 0.388 0.389
0.671 0.250 0.849
0.829 0.750 0.349
0.963 0.612 0.889
0.963 0.888 0.889
0.177 0.750 0.656
0.181 0.025 0.591
0.181 0.475 0.591
0.319 0.525 0.091
0.319 0.975 0.091
0.323 0.250 0.156
0.677 0.750 0.844
0.681 0.025 0.909
0.681 0.475 0.909
0.819 0.525 0.409
0.819 0.975 0.409
0.823 0.250 0.344
0.116 0.619 0.364
0.116 0.881 0.364
0.384 0.119 0.864
0.384 0.381 0.864
0.616 0.619 0.136
0.616 0.881 0.136
0.884 0.119 0.636
0.884 0.381 0.636
```

The following is a simulated powder diffraction line list of Zr2Ga2Os. It was derived from a structure optimized by DFT (PBE), using CuKα.
Peak positions follow from Bragg's law for the DFT cell and can differ from measured ones.

Top 10 peaks for 2θ from 10° to 80°, by angle:
d (Å)	I_rel
4.772	11.6
3.017	27.1
2.550	57.8
2.385	100.0
2.134	59.3
1.947	19.4
1.871	22.0
1.509	24.1
1.438	23.1
1.253	17.2

Structure:
```
Zr2Ga2Os
1.0
6.749 0.000 0.000
0.000 6.749 0.000
0.000 0.000 7.786
Zr Ga Os
8 8 4
direct
0.174 0.326 0.000
0.174 0.326 0.500
0.326 0.826 0.000
0.326 0.826 0.500
0.674 0.174 0.000
0.674 0.174 0.500
0.826 0.674 0.000
0.826 0.674 0.500
0.132 0.632 0.250
0.132 0.632 0.750
0.368 0.132 0.250
0.368 0.132 0.750
0.632 0.868 0.250
0.632 0.868 0.750
0.868 0.368 0.250
0.868 0.368 0.750
0.000 0.000 0.218
0.000 0.000 0.782
0.500 0.500 0.282
0.500 0.500 0.718
```

The following is a simulated powder diffraction line list of Pm2GaPPd6. It was derived from a structure optimized by DFT (PBE), using CuKα.
Peak positions follow from Bragg's law for the DFT cell and can differ from measured ones.

Top 10 peaks for 2θ from 10° to 80°, by angle:
d (Å)	I_rel
8.070	22.5
3.272	23.5
3.160	39.1
2.959	88.9
2.615	34.2
2.352	100.0
2.298	79.5
2.176	59.9
2.118	60.7
1.580	47.2

Structure:
```
Pm2GaPPd6
1.0
5.590 0.000 0.000
0.000 8.703 0.000
0.000 0.000 8.070
Pm Ga P Pd
4 2 2 12
direct
0.250 0.012 0.233
0.250 0.488 0.233
0.750 0.512 0.767
0.750 0.988 0.767
0.250 0.750 0.778
0.750 0.250 0.222
0.250 0.250 0.735
0.750 0.750 0.265
0.001 0.750 0.509
0.002 0.250 0.969
0.250 0.002 0.616
0.250 0.498 0.616
0.498 0.250 0.969
0.499 0.750 0.509
0.501 0.250 0.491
0.502 0.750 0.031
0.750 0.502 0.384
0.750 0.998 0.384
0.998 0.750 0.031
0.999 0.250 0.491
```

The following is a simulated powder diffraction line list of RbGaP2Pd. It was derived from a structure optimized by DFT (PBE), using CuKα.
Peak positions follow from Bragg's law for the DFT cell and can differ from measured ones.

Top 10 peaks for 2θ from 10° to 80°, by angle:
d (Å)	I_rel
4.728	63.6
3.665	41.4
3.343	75.9
2.899	100.0
2.364	75.2
2.191	48.2
1.832	67.9
1.672	30.8
1.449	38.6
1.329	28.2

Structure:
```
RbGaP2Pd
1.0
4.728 0.000 0.000
0.000 4.728 0.000
0.000 0.000 5.800
Rb Ga P Pd
1 1 2 1
direct
0.000 0.000 0.000
0.500 0.500 0.000
0.000 0.500 0.500
0.500 0.000 0.500
0.000 0.000 0.500
```

The following is a simulated powder diffraction line list of Pm2GaPPt6. It was derived from a structure optimized by DFT (PBE), using CuKα.
Peak positions follow from Bragg's law for the DFT cell and can differ from measured ones.

Top 10 peaks for 2θ from 10° to 80°, by angle:
d (Å)	I_rel
8.243	32.6
3.314	27.1
2.975	82.3
2.624	38.0
2.339	100.0
2.309	62.2
2.149	51.4
2.138	38.5
2.034	25.9
1.573	37.2

Structure:
```
Pm2GaPPt6
1.0
5.576 0.000 0.000
0.000 8.596 0.000
0.000 0.000 8.243
Pm Ga P Pt
4 2 2 12
direct
0.250 0.012 0.229
0.250 0.488 0.229
0.750 0.512 0.771
0.750 0.988 0.771
0.250 0.750 0.780
0.750 0.250 0.220
0.250 0.250 0.742
0.750 0.750 0.258
0.000 0.250 0.969
0.000 0.750 0.031
0.001 0.750 0.514
0.250 0.004 0.617
0.250 0.496 0.617
0.499 0.750 0.514
0.500 0.250 0.969
0.500 0.750 0.031
0.501 0.250 0.486
0.750 0.504 0.383
0.750 0.996 0.383
0.999 0.250 0.486
```